# 1
Starting from a structure optimized by DFT (PBE), the powder XRD pattern of Ba5In4Sb6 was computed for Cu Kα X-rays.
Peak positions follow from Bragg's law for the DFT cell and can differ from measured ones.

Structure:
abc: 14.543 18.650 8.421
angles: 90.00 90.00 90.00
Fractional positions:
1 Ba 0.086 0.001 0.240
2 Ba 0.086 0.499 0.240
3 Ba 0.099 0.250 0.263
4 Ba 0.250 0.250 0.710
5 Ba 0.250 0.502 0.739
6 Ba 0.250 0.750 0.072
7 Ba 0.250 0.998 0.739
8 Ba 0.401 0.250 0.263
9 Ba 0.414 0.001 0.240
10 Ba 0.414 0.499 0.240
11 Ba 0.586 0.501 0.760
12 Ba 0.586 0.999 0.760
13 Ba 0.599 0.750 0.737
14 Ba 0.750 0.002 0.261
15 Ba 0.750 0.250 0.928
16 Ba 0.750 0.498 0.261
17 Ba 0.750 0.750 0.290
18 Ba 0.901 0.750 0.737
19 Ba 0.914 0.501 0.760
20 Ba 0.914 0.999 0.760
21 In 0.066 0.168 0.898
22 In 0.066 0.332 0.898
23 In 0.095 0.672 0.566
24 In 0.095 0.828 0.566
25 In 0.405 0.672 0.566
26 In 0.405 0.828 0.566
27 In 0.434 0.168 0.898
28 In 0.434 0.332 0.898
29 In 0.566 0.668 0.102
30 In 0.566 0.832 0.102
31 In 0.595 0.172 0.434
32 In 0.595 0.328 0.434
33 In 0.905 0.172 0.434
34 In 0.905 0.328 0.434
35 In 0.934 0.668 0.102
36 In 0.934 0.832 0.102
37 Sb 0.079 0.117 0.576
38 Sb 0.079 0.383 0.576
39 Sb 0.086 0.620 0.906
40 Sb 0.086 0.880 0.906
41 Sb 0.250 0.125 0.058
42 Sb 0.250 0.375 0.058
43 Sb 0.250 0.616 0.397
44 Sb 0.250 0.884 0.397
45 Sb 0.414 0.620 0.906
46 Sb 0.414 0.880 0.906
47 Sb 0.421 0.117 0.576
48 Sb 0.421 0.383 0.576
49 Sb 0.579 0.617 0.424
50 Sb 0.579 0.883 0.424
51 Sb 0.586 0.120 0.094
52 Sb 0.586 0.380 0.094
53 Sb 0.750 0.116 0.603
54 Sb 0.750 0.384 0.603
55 Sb 0.750 0.625 0.942
56 Sb 0.750 0.875 0.942
57 Sb 0.914 0.120 0.094
58 Sb 0.914 0.380 0.094
59 Sb 0.921 0.617 0.424
60 Sb 0.921 0.883 0.424

Most intense lines, 2θ from 5° to 70°, by intensity:
| d/Å | 2θ (°) | intensity |
| --- | --- | --- |
| 3.122 | 28.59 | 100.0 |
| 2.427 | 37.03 | 76.1 |
| 3.483 | 25.58 | 42.3 |
| 2.251 | 40.07 | 28.0 |
| 1.916 | 47.44 | 22.1 |
| 3.833 | 23.21 | 19.0 |
| 1.505 | 61.63 | 12.4 |
| 1.682 | 54.56 | 11.2 |



# 2
Starting from a structure optimized by DFT (PBE), the powder XRD pattern of Ba3InSb3 was computed for Cu Kα X-rays.
Peak positions follow from Bragg's law for the DFT cell and can differ from measured ones.

Structure:
abc: 11.518 11.518 14.419
angles: 90.00 90.00 37.39
Fractional positions:
1 Ba 0.021 0.627 0.129
2 Ba 0.127 0.521 0.629
3 Ba 0.189 0.811 0.855
4 Ba 0.311 0.689 0.355
5 Ba 0.373 0.979 0.129
6 Ba 0.479 0.873 0.629
7 Ba 0.521 0.127 0.371
8 Ba 0.627 0.021 0.871
9 Ba 0.689 0.311 0.645
10 Ba 0.811 0.189 0.145
11 Ba 0.873 0.479 0.371
12 Ba 0.979 0.373 0.871
13 In 0.087 0.087 0.500
14 In 0.413 0.413 0.000
15 In 0.587 0.587 0.000
16 In 0.913 0.913 0.500
17 Sb 0.054 0.623 0.376
18 Sb 0.123 0.554 0.876
19 Sb 0.213 0.787 0.608
20 Sb 0.287 0.713 0.108
21 Sb 0.377 0.946 0.376
22 Sb 0.446 0.877 0.876
23 Sb 0.554 0.123 0.124
24 Sb 0.623 0.054 0.624
25 Sb 0.713 0.287 0.892
26 Sb 0.787 0.213 0.392
27 Sb 0.877 0.446 0.124
28 Sb 0.946 0.377 0.624

Most intense lines, 2θ from 5° to 70°, by intensity:
| d/Å | 2θ (°) | intensity |
| --- | --- | --- |
| 2.560 | 35.05 | 100.0 |
| 3.636 | 24.48 | 88.2 |
| 2.579 | 34.78 | 86.5 |
| 2.591 | 34.62 | 80.8 |
| 3.605 | 24.70 | 68.7 |
| 3.692 | 24.11 | 51.1 |
| 2.104 | 42.99 | 37.4 |
| 3.399 | 26.22 | 27.0 |